Record 1
Starting from a structure optimized by DFT (GGA-PBE), the powder diffraction line list of Sr2YTaO6 was calculated for Cu Kα X-rays.
Lines closer than 0.1° are merged.

Most intense lines, 10° ≤ 2θ ≤ 90°, low angle first:
| (hkl) | 2θ (°) | d [Å] | I (rel.) |
| --- | --- | --- | --- |
| 1 1 -1 | 21.32 | 4.168 | 16 |
| 0 2 0 | 30.07 | 2.972 | 24 |
| 1 1 -3 | 30.34 | 2.946 | 100 |
| 2 0 -2 | 30.55 | 2.927 | 24 |
| 2 2 -2 | 43.39 | 2.085 | 27 |
| 0 0 4 | 43.49 | 2.081 | 14 |
| 1 3 -3 | 53.56 | 1.711 | 18 |
| 0 2 4 | 53.78 | 1.705 | 11 |
| 3 1 -1 | 54.12 | 1.695 | 16 |
| 3 1 -5 | 54.23 | 1.691 | 12 |

Structure:
Unit cell a=5.8532 b=5.9445 c=10.1586 alpha=90.00 beta=124.99 gamma=90.00
Space group P2_1/c (No. 14)
One atom of each set of equivalent atoms:
Sr1 0.2419 0.0372 0.2506
Y1 0.5000 0.0000 0.0000
Ta1 0.0000 0.0000 0.5000
O1 0.1480 0.2257 0.9542
O2 0.2326 0.6966 0.9586
O3 0.3164 0.0253 0.7343

***

Record 2
Starting from a structure optimized by DFT (GGA-PBE), the powder diffraction line list of Pb2CO3F2 was calculated for Cu Kα X-rays.
Lines closer than 0.1° are merged.

Most intense lines, 10° ≤ 2θ ≤ 90°, low angle first:
| (hkl) | 2θ (°) | d [Å] | I (rel.) |
| --- | --- | --- | --- |
| 2 0 0 | 21.74 | 4.087 | 28 |
| 0 0 2 | 25.44 | 3.501 | 25 |
| 1 2 1 | 27.07 | 3.293 | 100 |
| 2 1 1 | 27.41 | 3.254 | 56 |
| 1 0 2 | 27.72 | 3.218 | 27 |
| 2 0 2 | 33.71 | 2.659 | 19 |
| 1 1 3 | 41.62 | 2.170 | 15 |
| 0 2 3 | 44.42 | 2.040 | 19 |
| 3 3 0 | 46.54 | 1.951 | 45 |
| 4 1 1 | 47.60 | 1.910 | 28 |

Structure:
Unit cell a=8.1746 b=8.3898 c=7.0014 alpha=90.00 beta=90.00 gamma=90.00
Space group Pbcn (No. 60)
One atom of each set of equivalent atoms:
Pb1 0.1834 0.1588 0.0533
C1 0.0000 0.4804 0.7500
O1 0.0000 0.3254 0.7500
O2 0.1299 0.4424 0.1942
F1 0.1128 0.1134 0.3990

***

Record 3
Starting from a structure optimized by DFT (GGA-PBE), the powder diffraction line list of K2Re3CS5N was calculated for Cu Kα X-rays.
Lines closer than 0.1° are merged.

Most intense lines, 10° ≤ 2θ ≤ 90°, low angle first:
| (hkl) | 2θ (°) | d [Å] | I (rel.) |
| --- | --- | --- | --- |
| 1 0 1 | 11.52 | 7.679 | 100 |
| 1 1 1 | 14.93 | 5.934 | 65 |
| 2 0 0 | 15.44 | 5.739 | 11 |
| 1 3 2 | 34.51 | 2.599 | 9 |
| 3 2 2 | 34.93 | 2.569 | 11 |
| 0 1 4 | 36.08 | 2.490 | 9 |
| 1 4 2 | 43.21 | 2.094 | 10 |
| 4 2 3 | 45.49 | 1.994 | 16 |
| 1 1 5 | 45.65 | 1.987 | 8 |
| 5 2 2 | 47.51 | 1.914 | 12 |

Structure:
Unit cell a=11.4775 b=9.3491 c=10.3310 alpha=90.00 beta=90.00 gamma=90.00
Space group Pmna (No. 53)
One atom of each set of equivalent atoms:
K1 0.0000 0.2213 0.0742
K2 0.2500 0.0475 0.7500
Re1 0.0000 0.3379 0.6047
Re2 0.1147 0.4177 0.3941
C1 0.0000 0.1694 0.7388
S1 0.0000 0.1985 0.4085
S2 0.0000 0.4947 0.7877
S3 0.2117 0.3519 0.5932
S4 0.2500 0.2878 0.2500
N1 0.0000 0.0825 0.8223

***

Record 4
Starting from a structure optimized by DFT (GGA-PBE), the powder diffraction line list of Cu5H14S2O18 was calculated for Cu Kα X-rays.
Lines closer than 0.1° are merged.

Most intense lines, 10° ≤ 2θ ≤ 90°, low angle first:
| (hkl) | 2θ (°) | d [Å] | I (rel.) |
| --- | --- | --- | --- |
| 0 0 2 | 16.20 | 5.471 | 100 |
| 0 1 1 | 16.89 | 5.250 | 23 |
| 0 1 2 | 22.18 | 4.008 | 26 |
| 0 0 3 | 24.41 | 3.647 | 40 |
| 1 0 -3 | 25.96 | 3.432 | 22 |
| 2 0 -2 | 33.01 | 2.713 | 31 |
| 1 2 1 | 36.40 | 2.468 | 22 |
| 1 -2 2 | 38.37 | 2.346 | 24 |
| 1 2 2 | 40.25 | 2.240 | 29 |
| 2 0 -4 | 40.79 | 2.212 | 23 |

Structure:
Unit cell a=5.6218 b=6.1058 c=11.2676 alpha=91.54 beta=103.67 gamma=91.73
Space group P-1 (No. 2)
One atom of each set of equivalent atoms:
Cu1 0.0000 0.0000 0.0000
Cu2 0.0000 0.0000 0.5000
Cu3 0.0000 0.5000 0.0000
Cu4 0.5002 0.2505 0.9988
H1 0.1324 0.6256 0.4183
H2 0.1512 0.7541 0.1763
H3 0.2322 0.5040 0.8343
H4 0.2516 0.0041 0.8297
H5 0.2666 0.6617 0.5649
H6 0.3409 0.2572 0.6379
H7 0.4438 0.0172 0.6324
S1 0.2979 0.3282 0.2808
O1 0.0992 0.4754 0.2974
O2 0.1486 0.7234 0.4935
O3 0.1593 0.7600 0.0906
O4 0.2569 0.2700 0.1474
O5 0.2842 0.4963 0.9240
O6 0.2879 0.0000 0.9192
O7 0.2925 0.0994 0.6368
O8 0.2951 0.1245 0.3504
O9 0.4578 0.5520 0.6764

***

Record 5
Starting from a structure optimized by DFT (GGA-PBE), the powder diffraction line list of SrLi2CrN3 was calculated for Cu Kα X-rays.
Lines closer than 0.1° are merged.

Most intense lines, 10° ≤ 2θ ≤ 90°, low angle first:
| (hkl) | 2θ (°) | d [Å] | I (rel.) |
| --- | --- | --- | --- |
| 0 2 0 | 16.80 | 5.278 | 87 |
| 0 2 1 | 19.41 | 4.574 | 73 |
| 1 0 2 | 22.87 | 3.889 | 64 |
| 2 1 0 | 25.63 | 3.476 | 45 |
| 1 1 3 | 32.85 | 2.726 | 100 |
| 0 4 0 | 33.95 | 2.640 | 48 |
| 1 3 2 | 34.36 | 2.610 | 74 |
| 2 3 0 | 35.28 | 2.544 | 94 |
| 2 1 3 | 39.26 | 2.295 | 55 |
| 3 0 2 | 41.75 | 2.164 | 53 |

Structure:
Unit cell a=7.3629 b=10.5564 c=9.1655 alpha=90.00 beta=90.00 gamma=90.00
Space group Pbca (No. 61)
One atom of each set of equivalent atoms:
Sr1 0.0854 0.0819 0.1919
Li1 0.0961 0.7198 0.6180
Li2 0.2112 0.6839 0.8801
Cr1 0.1061 0.0822 0.5477
N1 0.0774 0.1556 0.7166
N2 0.1019 0.5961 0.0679
N3 0.2058 0.6250 0.4509